[1]
# AgAs2O
Simulated XRD peak list, λ = 1.5418 Å (Cu Kα). Input: DFT lattice parameters and positions (PBE).
No peak broadening, texture or thermal motion is included.

Structure:
```
data_AgAs2O
_chemical_formula_sum 'Ag2 As4 O2'
_symmetry_space_group_name_H-M 'P 4/n m m'
_symmetry_Int_Tables_number 129
_cell_length_a 3.766
_cell_length_b 3.766
_cell_length_c 9.387
_cell_angle_alpha 90.00
_cell_angle_beta 90.00
_cell_angle_gamma 90.00
loop_
_symmetry_equiv_pos_as_xyz
'x,y,z'
'-x,-y,-z'
'-y+1/2,x,z'
'y+1/2,-x,-z'
'-x+1/2,-y+1/2,z'
'x+1/2,y+1/2,-z'
'y,-x+1/2,z'
'-y,x+1/2,-z'
'x+1/2,-y,-z'
'-x+1/2,y,z'
'-y,-x,-z'
'y,x,z'
'-x,y+1/2,-z'
'x,-y+1/2,z'
'y+1/2,x+1/2,-z'
'-y+1/2,-x+1/2,z'
loop_
_atom_site_label
_atom_site_fract_x
_atom_site_fract_y
_atom_site_fract_z
Ag1 0.250 0.750 0.000
As1 0.250 0.250 0.213
As2 0.250 0.250 0.613
O1 0.250 0.750 0.500
```

Top 6 peaks for 15° ≤ 2θ ≤ 90°, by intensity:
- d 2.316, 2θ = 38.9°, intensity 100, (1 1 2)
- d 2.562, 2θ = 35.0°, intensity 72, (1 1 1)
- d 2.938, 2θ = 30.4°, intensity 70, (1 0 2)
- d 1.883, 2θ = 48.3°, intensity 60, (2 0 0)
- d 2.407, 2θ = 37.4°, intensity 50, (1 0 3)
- d 1.761, 2θ = 51.9°, intensity 29, (1 1 4)

---

[2]
# Ag3As2O8
Simulated XRD peak list, λ = 1.5418 Å (Cu Kα). Input: DFT lattice parameters and positions (PBE).
No peak broadening, texture or thermal motion is included.

Structure:
```
data_Ag3As2O8
_chemical_formula_sum 'Ag3 As2 O8'
_symmetry_space_group_name_H-M 'P -1'
_symmetry_Int_Tables_number 2
_symmetry_space_group_name_Hall '-P 1'
_cell_length_a 5.202
_cell_length_b 5.732
_cell_length_c 6.697
_cell_angle_alpha 69.36
_cell_angle_beta 81.71
_cell_angle_gamma 68.49
loop_
_atom_site_label
_atom_site_fract_x
_atom_site_fract_y
_atom_site_fract_z
Ag1 0.000 0.000 0.000
Ag2 0.262 0.228 0.338
As1 0.370 0.356 0.779
O1 0.201 0.674 0.634
O2 0.211 0.234 0.025
O3 0.309 0.654 0.170
O4 0.352 0.131 0.667
```

Top 6 peaks for 15° ≤ 2θ ≤ 90°, by intensity:
- d 3.162, 2θ = 28.2°, intensity 100, (0 1 2)
- d 3.015, 2θ = 29.6°, intensity 95, (1 -1 0)
- d 3.141, 2θ = 28.4°, intensity 79, (1 1 -1)
- d 2.803, 2θ = 31.9°, intensity 64, (1 2 1)
- d 2.651, 2θ = 33.8°, intensity 46, (1 0 2)
- d 2.524, 2θ = 35.6°, intensity 39, (2 1 1)

---

[3]
# AgAsPbO5
Simulated XRD peak list, λ = 1.5418 Å (Cu Kα). Input: DFT lattice parameters and positions (PBE).
No peak broadening, texture or thermal motion is included.

Structure:
```
data_AgAsPbO5
_chemical_formula_sum 'Ag4 As4 Pb4 O20'
_symmetry_space_group_name_H-M 'C 1 2/m 1'
_symmetry_Int_Tables_number 12
_symmetry_space_group_name_Hall '-C 2y'
_cell_length_a 13.171
_cell_length_b 5.536
_cell_length_c 7.270
_cell_angle_alpha 90.00
_cell_angle_beta 118.20
_cell_angle_gamma 90.00
loop_
_atom_site_label
_atom_site_fract_x
_atom_site_fract_y
_atom_site_fract_z
Ag1 0.067 0.000 0.375
As1 0.123 0.500 0.148
Pb1 0.177 0.500 0.743
O1 0.000 0.238 0.500
O2 0.033 0.500 0.872
O3 0.158 0.234 0.292
O4 0.248 0.000 0.873
```

Top 6 peaks for 15° ≤ 2θ ≤ 90°, by intensity:
- d 3.601, 2θ = 24.7°, intensity 100, (1 1 1)
- d 2.879, 2θ = 31.1°, intensity 83, (3 1 -2)
- d 3.171, 2θ = 28.1°, intensity 67, (3 1 0)
- d 2.768, 2θ = 32.3°, intensity 46, (0 2 0)
- d 3.204, 2θ = 27.8°, intensity 27, (0 0 2)
- d 2.478, 2θ = 36.3°, intensity 26, (1 1 2)

---

[4]
# AgAsPbO4
Simulated XRD peak list, λ = 1.5418 Å (Cu Kα). Input: DFT lattice parameters and positions (PBE).
No peak broadening, texture or thermal motion is included.

Structure:
```
data_AgAsPbO4
_chemical_formula_sum 'Ag2 As2 Pb2 O8'
_symmetry_space_group_name_H-M 'P -1'
_symmetry_Int_Tables_number 2
_symmetry_space_group_name_Hall '-P 1'
_cell_length_a 4.874
_cell_length_b 5.757
_cell_length_c 7.915
_cell_angle_alpha 95.10
_cell_angle_beta 106.90
_cell_angle_gamma 94.70
loop_
_atom_site_label
_atom_site_fract_x
_atom_site_fract_y
_atom_site_fract_z
Ag1 0.169 0.300 0.488
As1 0.419 0.726 0.816
Pb1 0.099 0.778 0.186
O1 0.214 0.594 0.932
O2 0.227 0.908 0.673
O3 0.274 0.108 0.052
O4 0.476 0.492 0.311
```

Top 6 peaks for 15° ≤ 2θ ≤ 90°, by intensity:
- d 2.999, 2θ = 29.8°, intensity 100, (1 1 -2)
- d 3.191, 2θ = 28.0°, intensity 97, (1 -1 1)
- d 2.935, 2θ = 30.5°, intensity 89, (-1 1 2)
- d 2.813, 2θ = 31.8°, intensity 73, (1 1 1)
- d 2.849, 2θ = 31.4°, intensity 61, (0 2 0)
- d 1.780, 2θ = 51.3°, intensity 57, (2 2 -1)